[1]
The following is a simulated powder X-ray diffraction pattern of ReIr4Ru2. It was derived from the GGA-PBE geometry in Alexandria, using Cu Ka.
Kinematic intensities with the Lorentz-polarization factor, no thermal factor.

Structural model:
```
data_ReIr4Ru2
_chemical_formula_sum 'Re2 Ir8 Ru4'
_cell_length_a 5.3769
_cell_length_b 10.9093
_cell_length_c 3.7533
_cell_angle_alpha 90.00
_cell_angle_beta 90.00
_cell_angle_gamma 90.00
_space_group_name_H-M_alt 'P b a m'
_space_group_IT_number 55
loop_
_space_group_symop_operation_xyz
'x,y,z'
'-x,-y,-z'
'-x,-y,z'
'x,y,-z'
'x+1/2,-y+1/2,-z'
'-x+1/2,y+1/2,z'
'-x+1/2,y+1/2,-z'
'x+1/2,-y+1/2,z'
loop_
_atom_site_label
_atom_site_fract_x
_atom_site_fract_y
_atom_site_fract_z
_atom_site_occupancy
Re1 0.0000 0.0000 0.0000 1
Ir1 0.0150 0.2418 0.0000 1
Ir2 0.2428 0.8767 0.5000 1
Ru1 0.2372 0.6165 0.5000 1
```

Main lines, by intensity (15 to 90 degrees two-theta):
40.90°, rel. 100, hkl 0 4 1
41.31°, rel. 98, hkl 2 0 1
47.49°, rel. 64, hkl 2 4 0
70.23°, rel. 40, hkl 2 4 2
48.51°, rel. 31, hkl 0 0 2
18.40°, rel. 24, hkl 1 1 0
83.57°, rel. 24, hkl 2 8 1
84.38°, rel. 24, hkl 4 4 1
30.17°, rel. 15, hkl 1 1 1
85.36°, rel. 12, hkl 0 4 3

[2]
The following is a simulated powder X-ray diffraction pattern of ReIr5Ru4. It was derived from the GGA-PBE geometry in Alexandria, using Cu Ka.
Kinematic intensities with the Lorentz-polarization factor, no thermal factor.

Structural model:
```
data_ReIr5Ru4
_chemical_formula_sum 'Re2 Ir10 Ru8'
_cell_length_a 13.7127
_cell_length_b 3.8833
_cell_length_c 6.6115
_cell_angle_alpha 90.00
_cell_angle_beta 118.81
_cell_angle_gamma 90.00
_space_group_name_H-M_alt 'C 1 2/m 1'
_space_group_IT_number 12
loop_
_space_group_symop_operation_xyz
'x,y,z'
'-x,-y,-z'
'-x,y,-z'
'x,-y,z'
'x+1/2,y+1/2,z'
'-x+1/2,-y+1/2,-z'
'-x+1/2,y+1/2,-z'
'x+1/2,-y+1/2,z'
loop_
_atom_site_label
_atom_site_fract_x
_atom_site_fract_y
_atom_site_fract_z
_atom_site_occupancy
Re1 0.0000 0.0000 0.0000 1
Ir1 0.0000 0.0000 0.5000 1
Ir2 0.1698 0.5000 0.6242 1
Ir3 0.1722 0.5000 0.2204 1
Ru1 0.0232 0.5000 0.7775 1
Ru2 0.1721 0.0000 0.9250 1
```

Main lines, by intensity (15 to 90 degrees two-theta):
42.41°, rel. 100, hkl 5 1 -2
32.11°, rel. 29, hkl 3 1 0
46.79°, rel. 23, hkl 0 2 0
45.29°, rel. 23, hkl 6 0 0
40.34°, rel. 15, hkl 3 1 1
26.97°, rel. 15, hkl 2 0 -2
41.67°, rel. 14, hkl 2 0 -3
83.82°, rel. 14, hkl 5 3 -2
67.15°, rel. 14, hkl 6 2 0
81.64°, rel. 12, hkl 11 1 -2

[3]
The following is a simulated powder X-ray diffraction pattern of ReTcIrRu2. It was derived from the GGA-PBE geometry in Alexandria, using Cu Ka.
Kinematic intensities with the Lorentz-polarization factor, no thermal factor.

Structural model:
```
data_ReTcIrRu2
_chemical_formula_sum 'Re1 Tc1 Ir1 Ru2'
_cell_length_a 4.5442
_cell_length_b 4.5442
_cell_length_c 4.6699
_cell_angle_alpha 90.00
_cell_angle_beta 90.00
_cell_angle_gamma 90.00
_space_group_name_H-M_alt 'P 4/m m m'
_space_group_IT_number 123
_space_group_name_Hall '-P 4 2'
loop_
_atom_site_label
_atom_site_fract_x
_atom_site_fract_y
_atom_site_fract_z
_atom_site_occupancy
Re1 0.0000 0.0000 0.0000 1
Tc1 0.5000 0.5000 0.5000 1
Ir1 0.5000 0.5000 0.0000 1
Ru1 0.0000 0.5000 0.5000 1
```

Main lines, by intensity (15 to 90 degrees two-theta):
33.86°, rel. 100, hkl 1 1 1
39.67°, rel. 66, hkl 2 0 0
56.51°, rel. 47, hkl 2 0 2
38.56°, rel. 35, hkl 0 0 2
68.29°, rel. 26, hkl 3 1 1
27.76°, rel. 26, hkl 1 1 0
71.25°, rel. 23, hkl 2 2 2
57.35°, rel. 22, hkl 2 2 0
66.78°, rel. 14, hkl 1 1 3
48.18°, rel. 12, hkl 1 1 2

[4]
The following is a simulated powder X-ray diffraction pattern of Re2SiIr. It was derived from the GGA-PBE geometry in Alexandria, using Cu Ka.
Kinematic intensities with the Lorentz-polarization factor, no thermal factor.

Structural model:
```
data_Re2SiIr
_chemical_formula_sum 'Re2 Si1 Ir1'
_cell_length_a 2.8008
_cell_length_b 3.8465
_cell_length_c 5.3833
_cell_angle_alpha 90.00
_cell_angle_beta 90.00
_cell_angle_gamma 90.00
_space_group_name_H-M_alt 'P m m 2'
_space_group_IT_number 25
loop_
_space_group_symop_operation_xyz
'x,y,z'
'-x,-y,z'
'-x,y,z'
'x,-y,z'
loop_
_atom_site_label
_atom_site_fract_x
_atom_site_fract_y
_atom_site_fract_z
_atom_site_occupancy
Re1 0.0000 0.0000 0.0000 1
Re2 0.5000 0.5000 0.2036 1
Si1 0.0000 0.0000 0.4884 1
Ir1 0.5000 0.5000 0.6882 1
```

Main lines, by intensity (15 to 90 degrees two-theta):
39.81°, rel. 100, hkl 1 1 0
40.92°, rel. 83, hkl 0 1 2
46.81°, rel. 57, hkl 1 0 2
68.71°, rel. 36, hkl 1 2 2
47.26°, rel. 31, hkl 0 2 0
83.55°, rel. 26, hkl 0 3 2
81.40°, rel. 23, hkl 2 1 2
16.47°, rel. 23, hkl 0 0 1
28.52°, rel. 21, hkl 0 1 1
52.84°, rel. 15, hkl 1 1 2